1.
Starting from a cell relaxed with PBE, the powder XRD pattern of La9Sb5O5 was computed for Cu Kα, 1.54184 Å.

Structure:
Unit cell a=10.474 b=10.474 c=9.400 alpha=90.00 beta=90.00 gamma=90.00
Atoms (fractional coordinates):
La (0.022, 0.331, 0.002)
La (0.046, 0.854, 0.657)
La (0.146, 0.546, 0.343)
La (0.169, 0.022, 0.002)
La (0.250, 0.250, 0.671)
La (0.331, 0.478, 0.002)
La (0.354, 0.954, 0.343)
La (0.454, 0.646, 0.657)
La (0.478, 0.169, 0.002)
La (0.522, 0.831, 0.998)
La (0.546, 0.354, 0.343)
La (0.646, 0.046, 0.657)
La (0.669, 0.522, 0.998)
La (0.750, 0.750, 0.329)
La (0.831, 0.978, 0.998)
La (0.854, 0.454, 0.657)
La (0.954, 0.146, 0.343)
La (0.978, 0.669, 0.998)
Sb (0.053, 0.847, 0.299)
Sb (0.153, 0.553, 0.701)
Sb (0.250, 0.250, 0.311)
Sb (0.347, 0.947, 0.701)
Sb (0.447, 0.653, 0.299)
Sb (0.553, 0.347, 0.701)
Sb (0.653, 0.053, 0.299)
Sb (0.750, 0.750, 0.689)
Sb (0.847, 0.447, 0.299)
Sb (0.947, 0.153, 0.701)
O (0.026, 0.871, 0.910)
O (0.129, 0.526, 0.090)
O (0.250, 0.250, 0.927)
O (0.371, 0.974, 0.090)
O (0.474, 0.629, 0.910)
O (0.526, 0.371, 0.090)
O (0.629, 0.026, 0.910)
O (0.750, 0.750, 0.073)
O (0.871, 0.474, 0.910)
O (0.974, 0.129, 0.090)

The 10 most intense peaks (15 to 90 degrees two-theta), by angle:
d_spacing, Rel. int.
3.313, 30
3.128, 100
2.707, 60
2.342, 41
2.276, 13
1.916, 11
1.876, 33
1.656, 12
1.635, 17
1.464, 14

=====

2.
Starting from a cell relaxed with PBE, the powder XRD pattern of La3Sb5O12 was computed for Cu Kα, 1.54184 Å.

Structure:
Unit cell a=9.773 b=9.773 c=9.773 alpha=109.47 beta=109.47 gamma=109.47
Atoms (fractional coordinates):
La (0.250, 0.500, 0.750)
La (0.250, 0.750, 0.500)
La (0.500, 0.250, 0.750)
La (0.500, 0.750, 0.250)
La (0.750, 0.250, 0.500)
La (0.750, 0.500, 0.250)
Sb (0.000, 0.000, 0.500)
Sb (0.000, 0.281, 0.281)
Sb (0.000, 0.500, 0.000)
Sb (0.000, 0.719, 0.719)
Sb (0.281, 0.000, 0.281)
Sb (0.281, 0.281, 0.000)
Sb (0.500, 0.000, 0.000)
Sb (0.500, 0.500, 0.500)
Sb (0.719, 0.000, 0.719)
Sb (0.719, 0.719, 0.000)
O (0.000, 0.195, 0.468)
O (0.000, 0.468, 0.195)
O (0.000, 0.512, 0.708)
O (0.000, 0.708, 0.512)
O (0.195, 0.000, 0.468)
O (0.195, 0.468, 0.000)
O (0.196, 0.488, 0.488)
O (0.273, 0.805, 0.805)
O (0.292, 0.292, 0.804)
O (0.292, 0.804, 0.292)
O (0.468, 0.000, 0.195)
O (0.468, 0.195, 0.000)
O (0.488, 0.196, 0.488)
O (0.488, 0.488, 0.196)
O (0.512, 0.000, 0.708)
O (0.512, 0.708, 0.000)
O (0.532, 0.532, 0.727)
O (0.532, 0.727, 0.532)
O (0.708, 0.000, 0.512)
O (0.708, 0.512, 0.000)
O (0.727, 0.532, 0.532)
O (0.804, 0.292, 0.292)
O (0.805, 0.273, 0.805)
O (0.805, 0.805, 0.273)

The 10 most intense peaks (15 to 90 degrees two-theta), by angle:
d_spacing, Rel. int.
3.258, 100
2.821, 35
1.995, 43
1.701, 40
1.629, 9
1.536, 4
1.411, 6
1.295, 13
1.262, 11
1.152, 9

=====

3.
Starting from a cell relaxed with PBE, the powder XRD pattern of La4Sb2O was computed for Cu Kα, 1.54184 Å.

Structure:
Unit cell a=4.718 b=4.718 c=19.910 alpha=90.00 beta=90.00 gamma=90.00
Atoms (fractional coordinates):
La (0.000, 0.000, 0.176)
La (0.000, 0.000, 0.824)
La (0.000, 0.500, 0.000)
La (0.000, 0.500, 0.500)
La (0.500, 0.000, 0.000)
La (0.500, 0.000, 0.500)
La (0.500, 0.500, 0.324)
La (0.500, 0.500, 0.676)
Sb (0.000, 0.000, 0.343)
Sb (0.000, 0.000, 0.657)
Sb (0.500, 0.500, 0.157)
Sb (0.500, 0.500, 0.843)
O (0.000, 0.000, 0.500)
O (0.500, 0.500, 0.000)

The 10 most intense peaks (15 to 90 degrees two-theta), by angle:
d_spacing, Rel. int.
3.318, 64
3.163, 100
2.771, 65
2.359, 54
1.995, 26
1.923, 54
1.668, 18
1.491, 26
1.476, 21
1.429, 17

=====

4.
Starting from a cell relaxed with PBE, the powder XRD pattern of La2SbO was computed for Cu Kα, 1.54184 Å.

Structure:
Unit cell a=4.737 b=4.737 c=9.286 alpha=90.00 beta=90.00 gamma=90.00
Atoms (fractional coordinates):
La (0.250, 0.250, 0.156)
La (0.250, 0.750, 0.500)
La (0.750, 0.250, 0.500)
La (0.750, 0.750, 0.844)
Sb (0.250, 0.250, 0.794)
Sb (0.750, 0.750, 0.206)
O (0.250, 0.250, 0.416)
O (0.750, 0.750, 0.584)

The 10 most intense peaks (15 to 90 degrees two-theta), by angle:
d_spacing, Rel. int.
3.151, 99
3.095, 57
2.716, 100
2.369, 72
1.881, 55
1.675, 24
1.624, 22
1.479, 21
1.473, 30
1.426, 27